For Pm3NdY7, a GGA-PBE-relaxed structure gives the computed powder diffraction line list in this record (CuKα).
Neutral-atom scattering factors, no anomalous dispersion.

Structure:
```
data_Pm3NdY7
_chemical_formula_sum 'Pm3 Nd1 Y7'
_cell_length_a 6.9830
_cell_length_b 5.5867
_cell_length_c 10.1470
_cell_angle_alpha 90.00
_cell_angle_beta 109.96
_cell_angle_gamma 90.00
_symmetry_space_group_name_H-M 'P 1 2/m 1'
_symmetry_Int_Tables_number 10
_symmetry_space_group_name_Hall '-P 2y'
loop_
_atom_site_label
_atom_site_type_symbol
_atom_site_fract_x
_atom_site_fract_y
_atom_site_fract_z
Pm1 Pm 0.0000 0.0000 0.0000
Pm2 Pm 0.2171 0.5000 0.5004
Nd1 Nd 0.5000 0.0000 0.0000
Y1 Y 0.0837 0.0000 0.6702
Y2 Y 0.1805 0.5000 0.8624
Y3 Y 0.3561 0.5000 0.2129
Y4 Y 0.5000 0.0000 0.5000
```

Largest 10 diffraction maxima, sorted by position, 5 to 70 degrees two-theta:
Position (°2θ)	Rel. int.	hkl
18.40	11.6	0 1 1
18.61	14.3	0 0 2
31.14	27.7	1 1 -3
31.65	100.0	2 1 0
31.81	15.0	2 0 -3
32.04	38.0	0 2 0
32.40	44.4	0 1 3
45.74	22.2	2 2 -3
56.86	16.3	2 3 0
57.33	12.1	0 3 3